The following is a simulated powder diffraction line list of MgSiH6O6. It was derived from DFT lattice parameters and positions (PBE), using Cu Kα (λ = 1.5418 Å).
Peak positions follow from Bragg's law for the DFT cell and can differ from measured ones.

Most intense lines, 2θ = 15–90°, low angle first:
index  d (Å)  2θ (°)  I/Imax
1 0 -1  4.243  20.9  13
0 0 2  3.682  24.2  59
1 1 0  3.664  24.3  100
0 2 0  2.599  34.5  16
2 1 0  2.312  39.0  22
1 0 3  2.216  40.7  43
2 1 -1  2.206  40.9  20
2 2 0  1.832  49.8  19
1 3 0  1.645  55.9  44
2 2 2  1.640  56.1  19
0 2 4  1.502  61.8  19
3 1 2  1.493  62.2  23

Cell and atoms:
```
data_MgSiH6O6
_chemical_formula_sum 'Mg2 Si2 H12 O12'
_space_group_name_H-M_alt 'P 1'
_space_group_IT_number 1
_space_group_name_Hall 'P 1'
_cell_length_a 5.1617
_cell_length_b 5.2026
_cell_length_c 7.3640
_cell_angle_alpha 90.00
_cell_angle_beta 90.08
_cell_angle_gamma 90.00
loop_
_atom_site_label
_atom_site_type_symbol
_atom_site_fract_x
_atom_site_fract_y
_atom_site_fract_z
Mg1 Mg 0.2472 0.0000 0.2512
Mg2 Mg 0.7528 0.5000 0.7488
Si1 Si 0.2520 0.9997 0.7508
Si2 Si 0.7480 0.4997 0.2492
H1 H 0.0354 0.1931 0.9856
H2 H 0.0658 0.3437 0.4472
H3 H 0.2263 0.4458 0.7313
H4 H 0.3036 0.5365 0.2262
H5 H 0.4123 0.6838 0.9489
H6 H 0.4585 0.7929 0.5104
H7 H 0.5415 0.2929 0.4896
H8 H 0.5877 0.1838 0.0511
H9 H 0.6964 0.0365 0.7738
H10 H 0.7737 0.9458 0.2687
H11 H 0.9342 0.8437 0.5528
H12 H 0.9646 0.6931 0.0144
O1 O 0.0510 0.3413 0.3120
O2 O 0.1092 0.3027 0.6908
O3 O 0.1331 0.0301 0.9801
O4 O 0.3672 0.9591 0.5207
O5 O 0.4022 0.6978 0.8131
O6 O 0.4418 0.6604 0.1884
O7 O 0.5582 0.1604 0.8116
O8 O 0.5978 0.1978 0.1869
O9 O 0.6328 0.4591 0.4793
O10 O 0.8669 0.5301 0.0199
O11 O 0.8908 0.8027 0.3092
O12 O 0.9490 0.8413 0.6880
```